Simulated PXRD pattern
Compound: SmErZnIr
Radiation: copper Kα
Structure: a cell relaxed with PBE
Intensities are scaled so that the largest is 1000.

Most intense lines, 10 to 90 degrees two-theta, most intense first:
31.86°, rel. 1000
39.95°, rel. 633
33.89°, rel. 348
41.76°, rel. 280
39.56°, rel. 267
33.44°, rel. 223
46.15°, rel. 210
16.54°, rel. 192

Structural model:
a = 4.3257 Å, b = 5.7093 Å, c = 5.7093 Å
α = 40.30°, β = 90.00°, γ = 90.00°
Fractional coordinates of all 4 atoms:
1 Sm 0.0000 0.0000 0.0000
2 Er 0.5000 0.2804 0.2804
3 Zn 0.5000 0.5731 0.5731
4 Ir 0.0000 0.7167 0.7167